(1)
Diffraction record for Li4MnCrO6. The powder diffractogram is computed, not measured: it uses a DFT-relaxed cell (PBE+U, the Materials Project) and Cu Ka.

Main lines, by intensity (10° ≤ 2θ ≤ 90°):
2θ = 18.4°, I = 100; 2θ = 43.7°, I = 35; 2θ = 44.0°, I = 35; 2θ = 44.1°, I = 34; 2θ = 21.4°, I = 34; 2θ = 23.8°, I = 24; 2θ = 20.5°, I = 21; 2θ = 63.4°, I = 18; 2θ = 64.4°, I = 17; 2θ = 27.7°, I = 16

Structural model:
Lattice parameters (Å, degrees): 5.0224 8.6879 9.7518 81.81 85.18 89.71
Element x y z (fractional)
Li: 0.0000 0.0000 0.0000
Li: 0.0000 0.6714 0.9993
Li: 0.0147 0.3294 0.0003
Li: 0.1303 0.1276 0.2504
Li: 0.2492 0.9199 0.5002
Li: 0.2520 0.2493 0.5004
Li: 0.2588 0.5814 0.5005
Li: 0.3775 0.3752 0.7496
Li: 0.4950 0.1695 0.0007
Li: 0.5015 0.5006 0.0002
Li: 0.5125 0.8303 0.0002
Li: 0.6301 0.6281 0.2502
Li: 0.7506 0.7492 0.4999
Li: 0.7516 0.4189 0.5008
Li: 0.7634 0.0829 0.4990
Li: 0.8810 0.8755 0.7507
Mn: 0.1290 0.4583 0.2502
Mn: 0.3773 0.7071 0.7516
Mn: 0.6286 0.9585 0.2505
Mn: 0.8810 0.5437 0.7493
Cr: 0.1311 0.7951 0.2501
Cr: 0.3833 0.0381 0.7513
Cr: 0.6314 0.2950 0.2500
Cr: 0.8764 0.2122 0.7492
O: 0.0430 0.3973 0.6374
O: 0.0757 0.7160 0.6389
O: 0.0798 0.0735 0.6364
O: 0.1779 0.1760 0.8645
O: 0.1825 0.5347 0.8616
O: 0.2160 0.8527 0.8640
O: 0.2877 0.6429 0.1387
O: 0.3213 0.3236 0.1345
O: 0.3255 0.9629 0.1392
O: 0.4316 0.4248 0.3635
O: 0.4378 0.7863 0.3635
O: 0.4695 0.1064 0.3624
O: 0.5369 0.8923 0.6394
O: 0.5773 0.5718 0.6370
O: 0.5851 0.2147 0.6374
O: 0.6737 0.0362 0.8630
O: 0.6811 0.6783 0.8637
O: 0.7217 0.3584 0.8619
O: 0.7865 0.1433 0.1386
O: 0.8213 0.8237 0.1349
O: 0.8258 0.4628 0.1388
O: 0.9313 0.9254 0.3639
O: 0.9381 0.2864 0.3631
O: 0.9695 0.6066 0.3619


(2)
Diffraction record for Li3MnCr3O8. The powder diffractogram is computed, not measured: it uses a DFT-relaxed cell (PBE+U, the Materials Project) and Cu Ka.

Main lines, by intensity (10° ≤ 2θ ≤ 90°):
2θ = 18.2°, I = 100; 2θ = 43.1°, I = 69; 2θ = 35.6°, I = 37; 2θ = 62.8°, I = 19; 2θ = 62.5°, I = 17; 2θ = 56.9°, I = 14; 2θ = 66.0°, I = 13; 2θ = 47.2°, I = 10; 2θ = 37.2°, I = 9; 2θ = 79.3°, I = 8

Structural model:
Lattice parameters (Å, degrees): 5.9482 5.9482 5.9482 59.64 59.64 59.64
Element x y z (fractional)
Li: 0.0000 0.5000 0.5000
Li: 0.5000 0.0000 0.5000
Li: 0.5000 0.5000 0.0000
Mn: 0.5000 0.5000 0.5000
Cr: 0.0000 0.0000 0.5000
Cr: 0.0000 0.5000 0.0000
Cr: 0.5000 0.0000 0.0000
O: 0.2409 0.2409 0.2409
O: 0.2533 0.7308 0.7308
O: 0.2692 0.2692 0.7467
O: 0.2692 0.7467 0.2692
O: 0.7308 0.2533 0.7308
O: 0.7308 0.7308 0.2533
O: 0.7467 0.2692 0.2692
O: 0.7591 0.7591 0.7591


(3)
Diffraction record for Li6MnCr3P6O24. The powder diffractogram is computed, not measured: it uses a DFT-relaxed cell (PBE+U, the Materials Project) and Cu Ka.

Main lines, by intensity (10° ≤ 2θ ≤ 90°):
2θ = 20.9°, I = 100; 2θ = 24.2°, I = 97; 2θ = 24.0°, I = 95; 2θ = 35.3°, I = 54; 2θ = 23.7°, I = 54; 2θ = 20.6°, I = 52; 2θ = 24.3°, I = 49; 2θ = 20.3°, I = 43; 2θ = 33.0°, I = 36; 2θ = 29.3°, I = 31

Structural model:
Lattice parameters (Å, degrees): 8.4846 8.5094 8.6322 61.29 62.05 62.04
Element x y z (fractional)
Li: 0.0000 0.0000 0.0000
Li: 0.1048 0.9094 0.4967
Li: 0.2443 0.6318 0.8560
Li: 0.4027 0.3968 0.2034
Li: 0.5964 0.8205 0.6050
Li: 0.7395 0.1800 0.3689
Mn: 0.6080 0.0100 0.2018
Cr: 0.1055 0.5153 0.7149
Cr: 0.3969 0.7994 0.9982
Cr: 0.8907 0.2970 0.4975
P: 0.0016 0.7005 0.3149
P: 0.2015 0.2050 0.1045
P: 0.2894 0.1146 0.6064
P: 0.5008 0.6083 0.3995
P: 0.7067 0.4057 0.8924
P: 0.8025 0.9060 0.8013
O: 0.0187 0.2029 0.2743
O: 0.0472 0.6888 0.4735
O: 0.1332 0.1261 0.5536
O: 0.1615 0.7234 0.1226
O: 0.1806 0.3970 0.9464
O: 0.2405 0.0429 0.0449
O: 0.2415 0.2835 0.6552
O: 0.3139 0.9204 0.7703
O: 0.3319 0.6097 0.5817
O: 0.3627 0.1762 0.1642
O: 0.4443 0.6376 0.2395
O: 0.4841 0.0963 0.4521
O: 0.5104 0.5634 0.9237
O: 0.5610 0.7730 0.3621
O: 0.6421 0.8429 0.8374
O: 0.6596 0.4188 0.4216
O: 0.6851 0.2397 0.0862
O: 0.7354 0.3601 0.7298
O: 0.7806 0.9678 0.9509
O: 0.8197 0.0626 0.6058
O: 0.8387 0.8926 0.2834
O: 0.8680 0.4567 0.8674
O: 0.9602 0.5282 0.3547
O: 0.9981 0.7502 0.7763


(4)
Diffraction record for Li8Mn3CrP6O24. The powder diffractogram is computed, not measured: it uses a DFT-relaxed cell (PBE+U, the Materials Project) and Cu Ka.

Main lines, by intensity (10° ≤ 2θ ≤ 90°):
2θ = 23.7°, I = 100; 2θ = 14.1°, I = 89; 2θ = 19.3°, I = 84; 2θ = 30.8°, I = 75; 2θ = 28.5°, I = 63; 2θ = 19.1°, I = 44; 2θ = 24.0°, I = 34; 2θ = 23.8°, I = 34; 2θ = 30.9°, I = 32; 2θ = 14.4°, I = 30

Structural model:
Lattice parameters (Å, degrees): 8.4062 8.4547 9.2657 91.02 116.31 119.37
Element x y z (fractional)
Li: 0.0000 0.0000 0.0000
Li: 0.0334 0.2593 0.5049
Li: 0.3049 0.1468 0.3103
Li: 0.3415 0.4078 0.8185
Li: 0.4741 0.9367 0.5453
Li: 0.5983 0.8638 0.2619
Li: 0.7402 0.5415 0.5528
Li: 0.8659 0.4682 0.2764
Mn: 0.3856 0.0550 0.9707
Mn: 0.9589 0.3529 0.8454
Mn: 0.9811 0.8523 0.3771
Cr: 0.3578 0.5526 0.4408
P: 0.1631 0.7490 0.1644
P: 0.1768 0.6527 0.6562
P: 0.4556 0.2554 0.6534
P: 0.4778 0.4574 0.1710
P: 0.8606 0.9457 0.6459
P: 0.8879 0.1565 0.1607
O: 0.0045 0.7070 0.2274
O: 0.0340 0.3568 0.3032
O: 0.0483 0.5962 0.0038
O: 0.0516 0.9929 0.8158
O: 0.1017 0.4517 0.6822
O: 0.2482 0.9511 0.1426
O: 0.2858 0.4094 0.0013
O: 0.2880 0.8056 0.8166
O: 0.3105 0.0547 0.5131
O: 0.3336 0.6988 0.5916
O: 0.3527 0.3728 0.5903
O: 0.3616 0.7540 0.3101
O: 0.4175 0.4143 0.3118
O: 0.4619 0.2374 0.8186
O: 0.5618 0.3344 0.1614
O: 0.6548 0.6738 0.2289
O: 0.6717 0.3511 0.6647
O: 0.6746 0.0594 0.1554
O: 0.6814 0.7309 0.5859
O: 0.7787 0.0714 0.6527
O: 0.8703 0.1750 0.9922
O: 0.9229 0.9892 0.5044
O: 0.9735 0.6374 0.5110
O: 0.9940 0.0428 0.2189